1.
Diffraction record for Pm4Nd2Sm2Tm. The powder XRD pattern is theoretical, not measured: it uses a structure optimized by DFT (GGA-PBE) and Cu Ka.
No peak broadening, texture or thermal motion is included.

Peak list (12 most intense, 2θ from 10° to 80°, by angle)
d/Å	2θ (°)	I_rel
3.147	28.36	37
3.082	28.97	13
2.934	30.47	50
2.858	31.30	100
2.718	32.96	85
2.286	39.41	16
1.829	49.86	25
1.710	53.59	23
1.621	56.80	18
1.554	59.50	30
1.551	59.60	15
1.518	61.04	15

Crystal structure
```
Pm4Nd2Sm2Tm
1.0
9.497 -1.833 0.000
9.497 1.833 0.000
-4.207 0.000 8.802
Pm Nd Sm Tm
4 2 2 1
Cartesian
-1.046 0.000 2.907
3.174 0.000 5.874
11.612 0.000 2.928
15.833 0.000 5.895
-1.069 0.000 8.793
15.856 0.000 0.009
5.289 0.000 2.934
9.498 0.000 5.868
9.497 0.000 0.000
```

---

2.
Diffraction record for Mn22GaC6. The powder XRD pattern is theoretical, not measured: it uses a structure optimized by DFT (GGA-PBE) and Cu Ka.
No peak broadening, texture or thermal motion is included.

Peak list (12 most intense, 2θ from 10° to 80°, by angle)
d/Å	2θ (°)	I_rel
3.142	28.40	3
2.330	38.64	18
2.127	42.49	29
2.006	45.21	100
1.842	49.47	23
1.762	51.90	22
1.737	52.70	13
1.571	58.77	6
1.303	72.57	4
1.264	75.18	5
1.228	77.76	21
1.203	79.68	13

Crystal structure
```
Mn22GaC6
1.0
0.000 5.211 5.211
5.211 0.000 5.211
5.211 5.211 0.000
Mn Ga C
22 1 6
Cartesian
1.783 1.783 0.000
3.428 3.428 0.000
1.783 0.000 1.783
5.211 3.428 1.783
3.428 0.000 3.428
5.211 1.783 3.428
6.437 3.985 3.985
2.605 2.605 2.605
0.000 1.783 1.783
3.428 5.211 1.783
3.428 1.783 5.211
3.985 3.985 3.985
6.437 6.437 3.985
6.437 3.985 6.437
3.985 6.437 3.985
3.985 3.985 6.437
6.437 6.437 6.437
0.000 3.428 3.428
1.783 5.211 3.428
1.783 3.428 5.211
7.816 7.816 7.816
3.985 6.437 6.437
0.000 0.000 0.000
5.211 5.211 2.907
5.211 2.907 5.211
7.515 5.211 5.211
2.907 5.211 5.211
5.211 7.515 5.211
5.211 5.211 7.515
```

---

3.
Diffraction record for Ce4HgSb3. The powder XRD pattern is theoretical, not measured: it uses a structure optimized by DFT (GGA-PBE) and Cu Ka.
No peak broadening, texture or thermal motion is included.

Peak list (12 most intense, 2θ from 10° to 80°, by angle)
d/Å	2θ (°)	I_rel
3.578	24.88	17
3.042	29.36	51
2.842	31.48	82
2.804	31.91	76
2.702	33.15	52
2.676	33.49	18
2.529	35.50	100
2.482	36.19	30
2.077	43.59	35
1.658	55.43	15
1.633	56.32	15
1.573	58.69	23

Crystal structure
```
Ce4HgSb3
1.0
7.194 -2.842 0.000
7.194 2.842 0.000
-1.716 0.000 5.913
Ce Hg Sb
4 1 3
Cartesian
1.430 0.000 0.242
2.567 0.000 4.098
10.105 0.000 1.815
11.243 0.000 5.670
-0.858 0.000 2.956
4.413 0.000 1.478
7.194 0.000 0.000
8.260 0.000 4.435
```

---

4.
Diffraction record for Cs2InBi2. The powder XRD pattern is theoretical, not measured: it uses a structure optimized by DFT (GGA-PBE) and Cu Ka.
No peak broadening, texture or thermal motion is included.

Peak list (12 most intense, 2θ from 10° to 80°, by angle)
d/Å	2θ (°)	I_rel
6.615	13.39	100
4.368	20.33	44
4.065	21.86	29
3.790	23.47	92
3.120	28.61	24
3.040	29.38	89
2.862	31.25	28
2.773	32.29	24
2.509	35.79	30
2.374	37.90	30
2.080	43.51	26
2.010	45.11	19

Crystal structure
```
Cs2InBi2
1.0
8.293 -3.790 0.000
8.293 3.790 0.000
-6.455 0.000 9.133
Cs In Bi
4 2 4
Cartesian
-0.482 0.000 3.898
3.335 0.000 1.167
6.796 0.000 7.966
10.613 0.000 5.235
2.811 0.000 7.712
7.320 0.000 1.421
-0.127 0.000 7.813
3.572 0.000 4.941
6.559 0.000 4.192
10.258 0.000 1.321
```